For Ag3Br2Cl, a crystal structure in Alexandria, relaxed with PBE gives the theoretical X-ray powder pattern in this record (Cu Kα).

Peak list (6 most intense, 2θ = 10–90°, low angle first)
hkl 1 0 1, 24.80°, intensity 100
hkl 1 1 0, 41.06°, intensity 72
hkl 0 2 1, 48.56°, intensity 45
hkl 2 1 1, 65.42°, intensity 18
hkl 3 0 0, 74.80°, intensity 22
hkl 3 0 3, 80.21°, intensity 13

Structure:
```
Ag3Br2Cl
1.0
4.3984 0.0000 0.0000
-2.1992 3.8091 0.0000
0.0000 0.0000 10.7623
Ag Br Cl
3 2 1
direct
0.0000 0.0000 0.0000
0.3333 0.6667 0.6559
0.6667 0.3333 0.3136
0.0000 0.0000 0.7459
0.3333 0.6667 0.4028
0.6667 0.3333 0.0700
```